(1)
The following is a computed powder diffraction line list of NdBe13. It was derived from DFT lattice parameters and positions (PBE), using Cu Kα (weighted mean of Kα1 and Kα2).

Crystal structure
```
NdBe13
1.0
0.0000 5.1520 5.1520
5.1520 0.0000 5.1520
5.1520 5.1520 0.0000
Nd Be
2 26
Direct
0.2500 0.2500 0.2500 Nd
0.7500 0.7500 0.7500 Nd
0.0000 0.0000 0.0000 Be
0.0631 0.2884 0.7116 Be
0.0631 0.7116 0.9369 Be
0.0631 0.9369 0.2884 Be
0.2116 0.4369 0.7884 Be
0.2116 0.5631 0.4369 Be
0.2116 0.7884 0.5631 Be
0.2884 0.0631 0.9369 Be
0.2884 0.7116 0.0631 Be
0.2884 0.9369 0.7116 Be
0.4369 0.2116 0.5631 Be
0.4369 0.5631 0.7884 Be
0.4369 0.7884 0.2116 Be
0.5000 0.5000 0.5000 Be
0.5631 0.2116 0.7884 Be
0.5631 0.4369 0.2116 Be
0.5631 0.7884 0.4369 Be
0.7116 0.0631 0.2884 Be
0.7116 0.2884 0.9369 Be
0.7116 0.9369 0.0631 Be
0.7884 0.2116 0.4369 Be
0.7884 0.4369 0.5631 Be
0.7884 0.5631 0.2116 Be
0.9369 0.0631 0.7116 Be
0.9369 0.2884 0.0631 Be
0.9369 0.7116 0.2884 Be
```

Principal peaks in the range 2θ = 10–90°, sorted by position:
2theta, d (Å), I (rel.)
17.2, 5.152, 87
24.4, 3.643, 100
30.0, 2.975, 45
39.1, 2.304, 73
43.0, 2.103, 61
68.1, 1.377, 28

(2)
The following is a computed powder diffraction line list of La2PrCu2Si4Au2. It was derived from DFT lattice parameters and positions (PBE), using Cu Kα (weighted mean of Kα1 and Kα2).

Crystal structure
```
La2PrCu2Si4Au2
1.0
-2.1057 2.1607 12.3379
2.1057 -2.1607 12.3379
2.1057 2.1607 -12.3379
La Pr Cu Si Au
2 1 2 4 2
Direct
0.1450 0.1450 0.0000 La
0.8550 0.8550 0.0000 La
0.0000 0.5000 0.5000 Pr
0.4068 0.4068 0.0000 Cu
0.5932 0.5932 0.0000 Cu
0.3117 0.3117 0.0000 Si
0.4513 0.9513 0.5000 Si
0.5487 0.0487 0.5000 Si
0.6883 0.6883 0.0000 Si
0.2498 0.7498 0.5000 Au
0.7502 0.2502 0.5000 Au
```

Principal peaks in the range 2θ = 10–90°, sorted by position:
2theta, d (Å), I (rel.)
28.9, 3.084, 14
32.8, 2.732, 19
33.1, 2.709, 100
37.0, 2.432, 12
41.8, 2.159, 29
43.0, 2.106, 17